Record 1
For Mn4PdO8, the GGA+U geometry in Alexandria gives the calculated PXRD pattern in this record (Cu Kα (λ = 1.5418 Å)).
Lines closer than 0.1° are merged.

Most intense lines, 2θ from 15° to 90°, by angle:
index	2θ (°)	I/Imax
0 0 1	17.02	1000
0 1 0	17.46	368
1 0 1	18.05	355
1 1 0	18.41	336
1 0 0	20.05	389
1 1 1	20.75	352
1 1 -1	29.00	445
2 0 2	36.58	657
0 2 1	43.79	564
2 2 -1	46.28	540

Cell and atoms:
abc: 5.917 5.969 6.169
angles: 89.78 61.56 62.39
Space group P-1 (No. 2)
Inequivalent atoms, fractional coordinates:
Mn1 0.001 0.251 0.497 [2 per cell]
Mn2 0.470 0.764 0.546 [2 per cell]
Pd1 0.000 0.500 0.000 [1 per cell]
O1 0.171 0.660 0.718 [2 per cell]
O2 0.190 0.189 0.704 [2 per cell]
O3 0.279 0.870 0.342 [2 per cell]
O4 0.281 0.373 0.310 [2 per cell]

Record 2
For Sr3Fe2TeO9, the GGA+U geometry in Alexandria gives the calculated PXRD pattern in this record (Cu Kα (λ = 1.5418 Å)).
Lines closer than 0.1° are merged.

Most intense lines, 2θ from 15° to 90°, by angle:
index	2θ (°)	I/Imax
1 0 1	22.22	116
1 0 2	31.57	1000
1 1 0	31.67	984
0 2 2	45.33	709
0 1 4	56.16	174
3 0 0	56.37	577
2 0 4	65.92	195
2 2 0	66.16	207
1 2 4	74.99	151
1 3 2	75.15	166

Cell and atoms:
abc: 5.6501 5.6501 6.9524
angles: 90.00 90.00 120.00
Space group P-3m1 (No. 164)
Inequivalent atoms, fractional coordinates:
Sr1 0.0000 0.0000 0.0000 [1 per cell]
Sr2 0.3333 0.6667 0.3152 [2 per cell]
Fe1 0.3333 0.6667 0.8460 [2 per cell]
Te1 0.0000 0.0000 0.5000 [1 per cell]
O1 0.0000 0.5000 0.0000 [3 per cell]
O2 0.1622 0.3244 0.6609 [6 per cell]